1.
# CaPtS
Calculated powder X-ray diffraction pattern, Cu Kα (weighted mean of Kα1 and Kα2). Input: a GGA-PBE-relaxed structure.

Atomic structure:
```
3
Lattice="4.1765 0.0000 0.0000 0.0000 3.9183 0.0000 -1.9537 0.0000 3.7084" Properties=species:S:1:pos:R:3 pbc="T T T"
Ca 0.0000 0.0000 0.0000
Pt 2.2253 1.9592 1.1905
S -0.0575 1.9592 2.5764
```

Peak list (10 most intense, 10° ≤ 2θ ≤ 80°, in order of rising 2θ)
d 3.918, intensity 57; d 3.702, intensity 65; d 3.582, intensity 36; d 2.691, intensity 100; d 2.644, intensity 64; d 2.162, intensity 25; d 2.094, intensity 21; d 2.087, intensity 21; d 1.959, intensity 18; d 1.847, intensity 19



2.
# CaPtS
Calculated powder X-ray diffraction pattern, Cu Kα (weighted mean of Kα1 and Kα2). Input: a GGA-PBE-relaxed structure.

Atomic structure:
```
6
Lattice="5.5092 0.0000 0.0000 0.0000 4.5374 0.0000 -5.3991 0.0000 5.5186" Properties=species:S:1:pos:R:3 pbc="T T T"
Ca -1.3498 0.0027 1.3796
Ca -4.0493 4.5348 4.1389
Pt 2.7546 2.2687 0.0000
Pt 0.0551 2.2687 2.7593
S -1.2947 0.9977 4.1389
S 1.4048 3.5397 1.3796
```

Peak list (10 most intense, 10° ≤ 2θ ≤ 80°, in order of rising 2θ)
d 4.537, intensity 46; d 3.938, intensity 56; d 3.860, intensity 64; d 2.974, intensity 86; d 2.940, intensity 38; d 2.356, intensity 100; d 1.968, intensity 26; d 1.956, intensity 34; d 1.753, intensity 26; d 1.619, intensity 28



3.
# Ca2SiSbPt6
Calculated powder X-ray diffraction pattern, Cu Kα (weighted mean of Kα1 and Kα2). Input: a GGA-PBE-relaxed structure.

Atomic structure:
```
10
Lattice="5.9719 -2.7821 0.0000 5.9719 2.7821 0.0000 -5.5932 0.0000 6.3389" Properties=species:S:1:pos:R:3 pbc="T T T"
Ca 1.4014 0.0000 1.7632
Ca 4.9493 0.0000 4.5757
Si 5.9719 0.0000 0.0000
Sb -2.7966 0.0000 3.1695
Pt 4.6119 1.3837 1.4384
Pt -1.9385 0.0000 5.6526
Pt 1.7388 1.3837 4.9005
Pt 4.6119 -1.3837 1.4384
Pt 8.2892 0.0000 0.6863
Pt 1.7388 -1.3837 4.9005
```

Peak list (10 most intense, 10° ≤ 2θ ≤ 80°, in order of rising 2θ)
d 6.339, intensity 44; d 4.645, intensity 49; d 4.478, intensity 44; d 4.219, intensity 62; d 3.098, intensity 47; d 2.363, intensity 100; d 2.323, intensity 70; d 2.240, intensity 91; d 2.091, intensity 47; d 2.033, intensity 51



4.
# Ca3SiPt3
Calculated powder X-ray diffraction pattern, Cu Kα (weighted mean of Kα1 and Kα2). Input: a GGA-PBE-relaxed structure.

Atomic structure:
```
14
Lattice="5.2778 -2.1225 0.0000 5.2778 2.1225 0.0000 -5.1670 0.0000 13.7499" Properties=species:S:1:pos:R:3 pbc="T T T"
Ca -1.7522 0.0000 5.2441
Ca -3.6958 0.0000 12.7096
Ca 1.5074 0.0000 3.1109
Ca 3.8812 0.0000 10.6390
Ca 9.0844 0.0000 1.0403
Ca 7.1409 0.0000 8.5058
Si -0.3051 0.0000 8.1728
Si 5.6937 0.0000 5.5771
Pt 1.3403 0.0000 6.2717
Pt -0.6918 0.0000 12.6542
Pt 0.7035 0.0000 10.3274
Pt 4.6852 0.0000 3.4225
Pt 6.0805 0.0000 1.0956
Pt 4.0483 0.0000 7.4782
```

Peak list (10 most intense, 10° ≤ 2θ ≤ 80°, in order of rising 2θ)
d 5.278, intensity 46; d 3.900, intensity 100; d 3.474, intensity 31; d 3.445, intensity 34; d 2.778, intensity 82; d 2.697, intensity 47; d 2.293, intensity 33; d 2.279, intensity 31; d 2.237, intensity 46; d 2.122, intensity 38



5.
# Ca2Si3Pt6
Calculated powder X-ray diffraction pattern, Cu Kα (weighted mean of Kα1 and Kα2). Input: a GGA-PBE-relaxed structure.

Atomic structure:
```
11
Lattice="7.3570 0.0000 0.0000 -3.6785 6.3714 0.0000 0.0000 0.0000 4.2077" Properties=species:S:1:pos:R:3 pbc="T T T"
Ca 0.0000 4.2476 0.0000
Ca 3.6785 2.1238 0.0000
Si -2.3183 4.0154 2.1039
Si 1.3602 2.3560 2.1039
Si 4.6366 0.0000 2.1039
Pt -1.1460 1.9849 2.1039
Pt -2.8804 4.9890 0.0000
Pt 0.7981 1.3824 0.0000
Pt 2.2920 0.0000 2.1039
Pt 2.5325 4.3865 2.1039
Pt 5.7607 0.0000 0.0000
```

Peak list (10 most intense, 10° ≤ 2θ ≤ 80°, in order of rising 2θ)
d 6.371, intensity 41; d 3.679, intensity 21; d 2.769, intensity 100; d 2.408, intensity 20; d 2.124, intensity 17; d 2.104, intensity 22; d 2.090, intensity 57; d 1.896, intensity 18; d 1.839, intensity 17; d 1.320, intensity 20



6.
# Ca2Si3Pt5
Calculated powder X-ray diffraction pattern, Cu Kα (weighted mean of Kα1 and Kα2). Input: a GGA-PBE-relaxed structure.

Atomic structure:
```
20
Lattice="2.0240 -13.0019 0.0000 2.0240 13.0019 0.0000 0.0000 0.0000 6.6528" Properties=species:S:1:pos:R:3 pbc="T T T"
Ca 2.0240 12.4885 3.3264
Ca 2.0240 4.5462 3.1407
Ca 2.0240 -4.5462 6.4671
Ca 2.0240 -12.4885 0.0000
Si 2.0240 10.1658 4.9598
Si 2.0240 5.5326 5.9864
Si 2.0240 1.2190 4.6703
Si 2.0240 -1.2190 1.3439
Si 2.0240 -5.5326 2.6600
Si 2.0240 -10.1658 1.6334
Pt 2.0240 10.6160 0.8252
Pt 2.0240 8.0302 3.9763
Pt 2.0240 6.8150 1.4281
Pt 2.0240 3.0328 6.3413
Pt 2.0240 1.4881 2.1744
Pt 2.0240 -1.4881 5.5008
Pt 2.0240 -3.0328 3.0149
Pt 2.0240 -6.8150 4.7545
Pt 2.0240 -8.0302 0.6498
Pt 2.0240 -10.6160 4.1516
```

Peak list (10 most intense, 10° ≤ 2θ ≤ 80°, in order of rising 2θ)
d 4.650, intensity 42; d 4.334, intensity 34; d 3.216, intensity 35; d 2.880, intensity 63; d 2.558, intensity 58; d 2.531, intensity 100; d 2.464, intensity 29; d 2.099, intensity 25; d 2.024, intensity 45; d 1.952, intensity 23



7.
# Ca3Si2Pt6
Calculated powder X-ray diffraction pattern, Cu Kα (weighted mean of Kα1 and Kα2). Input: a GGA-PBE-relaxed structure.

Atomic structure:
```
22
Lattice="-4.7238 4.7238 4.7238 4.7238 -4.7238 4.7238 4.7238 4.7238 -4.7238" Properties=species:S:1:pos:R:3 pbc="T T T"
Ca 2.8094 0.0000 0.0000
Ca 6.6382 0.0000 0.0000
Ca 0.0000 2.8094 0.0000
Ca 0.0000 0.0000 2.8094
Ca 0.0000 6.6382 0.0000
Ca 0.0000 0.0000 6.6382
Si 2.3619 2.3619 -2.3619
Si 2.3619 -2.3619 2.3619
Si -2.3619 2.3619 2.3619
Si 2.3619 2.3619 2.3619
Pt 4.7238 1.7587 -1.7587
Pt 4.7238 -1.7587 1.7587
Pt 1.7587 4.7238 -1.7587
Pt 2.9651 2.9651 0.0000
Pt 2.9651 0.0000 2.9651
Pt 1.7587 -1.7587 4.7238
Pt 4.7238 1.7587 1.7587
Pt 0.0000 2.9651 2.9651
Pt -1.7587 4.7238 1.7587
Pt -1.7587 1.7587 4.7238
Pt 1.7587 4.7238 1.7587
Pt 1.7587 1.7587 4.7238
```

Peak list (10 most intense, 10° ≤ 2θ ≤ 80°, in order of rising 2θ)
d 6.680, intensity 55; d 3.857, intensity 26; d 3.340, intensity 22; d 2.727, intensity 13; d 2.525, intensity 38; d 2.227, intensity 100; d 1.853, intensity 14; d 1.725, intensity 22; d 1.533, intensity 14; d 1.286, intensity 35



8.
# CaSi3Pt2
Calculated powder X-ray diffraction pattern, Cu Kα (weighted mean of Kα1 and Kα2). Input: a GGA-PBE-relaxed structure.

Atomic structure:
```
18
Lattice="8.0531 -2.0413 0.0000 8.0531 2.0413 0.0000 -2.5372 0.0000 9.3908" Properties=species:S:1:pos:R:3 pbc="T T T"
Ca 0.0000 0.0000 0.0000
Ca 0.7091 0.0000 6.6448
Ca 12.8598 0.0000 2.7460
Si -0.2644 0.0000 3.5204
Si 2.6101 0.0000 3.4757
Si 5.4590 0.0000 0.5761
Si 3.8459 0.0000 7.6967
Si 6.7845 0.0000 4.6954
Si 9.7230 0.0000 1.6941
Si 8.1099 0.0000 8.8147
Si 10.9588 0.0000 5.9152
Si 13.8334 0.0000 5.8705
Pt 2.9615 0.0000 1.0125
Pt 4.2389 0.0000 5.2363
Pt 7.2733 0.0000 2.1922
Pt 6.2956 0.0000 7.1986
Pt 9.3300 0.0000 4.1545
Pt 10.6074 0.0000 8.3784
```

Peak list (10 most intense, 10° ≤ 2θ ≤ 80°, in order of rising 2θ)
d 3.949, intensity 48; d 3.472, intensity 45; d 3.202, intensity 100; d 3.126, intensity 83; d 2.525, intensity 43; d 2.469, intensity 49; d 2.041, intensity 50; d 2.022, intensity 44; d 1.951, intensity 47; d 1.913, intensity 49



9.
# Ca10Si3Pt7
Calculated powder X-ray diffraction pattern, Cu Kα (weighted mean of Kα1 and Kα2). Input: a GGA-PBE-relaxed structure.

Atomic structure:
```
40
Lattice="8.8064 0.0000 0.0000 -4.4032 7.6266 0.0000 0.0000 0.0000 13.9059" Properties=species:S:1:pos:R:3 pbc="T T T"
Ca -1.1420 1.9779 1.4873
Ca -1.1420 1.9779 5.4656
Ca -3.2613 5.6487 8.4403
Ca -3.2613 5.6487 12.4186
Ca 2.2839 0.0000 1.4873
Ca 2.2839 0.0000 5.4656
Ca 1.1420 1.9779 8.4403
Ca 1.1420 1.9779 12.4186
Ca 0.0000 5.0844 0.0000
Ca 0.0000 5.0844 3.4765
Ca 0.0000 5.0844 6.9530
Ca 0.0000 5.0844 10.4294
Ca 4.4032 2.5422 0.0000
Ca 4.4032 2.5422 3.4765
Ca 4.4032 2.5422 6.9530
Ca 4.4032 2.5422 10.4294
Ca 6.5225 0.0000 8.4403
Ca 6.5225 0.0000 12.4186
Ca 3.2613 5.6487 1.4873
Ca 3.2613 5.6487 5.4656
Si -1.2517 2.1680 10.4294
Si -3.1515 5.4586 3.4765
Si 2.5034 0.0000 10.4294
Si 1.2517 2.1680 3.4765
Si 6.3030 0.0000 3.4765
Si 3.1515 5.4586 10.4294
Pt 0.0000 0.0000 3.4765
Pt 0.0000 0.0000 10.4294
Pt -1.7941 3.1075 8.3107
Pt -1.7941 3.1075 12.5481
Pt -2.6091 4.5191 1.3578
Pt -2.6091 4.5191 5.5952
Pt 3.5882 0.0000 8.3107
Pt 3.5882 0.0000 12.5481
Pt 1.7941 3.1075 1.3578
Pt 1.7941 3.1075 5.5952
Pt 5.2182 0.0000 1.3578
Pt 5.2182 0.0000 5.5952
Pt 2.6091 4.5191 8.3107
Pt 2.6091 4.5191 12.5481
```

Peak list (10 most intense, 10° ≤ 2θ ≤ 80°, in order of rising 2θ)
d 5.138, intensity 54; d 4.198, intensity 69; d 3.813, intensity 79; d 3.720, intensity 37; d 3.192, intensity 57; d 2.823, intensity 41; d 2.729, intensity 90; d 2.542, intensity 67; d 2.448, intensity 100; d 1.924, intensity 81



10.
# CaSi4Pt4
Calculated powder X-ray diffraction pattern, Cu Kα (weighted mean of Kα1 and Kα2). Input: a GGA-PBE-relaxed structure.

Atomic structure:
```
18
Lattice="6.1382 0.0000 0.0000 0.0000 6.1382 0.0000 0.0000 0.0000 8.1439" Properties=species:S:1:pos:R:3 pbc="T T T"
Ca 1.5345 4.6036 2.0360
Ca 4.6036 1.5345 6.1079
Si 0.2686 1.5345 0.6579
Si 1.5345 0.2686 4.7299
Si 1.5345 2.8005 4.7299
Si 2.8005 1.5345 0.6579
Si 3.3377 4.6036 7.4860
Si 4.6036 3.3377 3.4141
Si 4.6036 5.8695 3.4141
Si 5.8695 4.6036 7.4860
Pt 0.1379 1.5345 3.0976
Pt 1.5345 0.1379 7.1695
Pt 1.5345 2.9312 7.1695
Pt 2.9312 1.5345 3.0976
Pt 3.2070 4.6036 5.0464
Pt 4.6036 3.2070 0.9744
Pt 4.6036 6.0003 0.9744
Pt 6.0003 4.6036 5.0464
```

Peak list (10 most intense, 10° ≤ 2θ ≤ 80°, in order of rising 2θ)
d 4.902, intensity 72; d 3.393, intensity 100; d 2.872, intensity 97; d 2.601, intensity 95; d 2.483, intensity 36; d 2.276, intensity 41; d 2.170, intensity 68; d 2.034, intensity 68; d 1.930, intensity 37; d 1.485, intensity 43



11.
# CaSm4Pt4
Calculated powder X-ray diffraction pattern, Cu Kα (weighted mean of Kα1 and Kα2). Input: a GGA-PBE-relaxed structure.

Atomic structure:
```
18
Lattice="9.2622 0.0000 0.0000 0.0000 9.2622 0.0000 0.0000 0.0000 5.8138" Properties=species:S:1:pos:R:3 pbc="T T T"
Ca 2.3155 2.3155 1.4535
Ca 6.9466 6.9466 4.3604
Sm 0.7102 6.0310 1.0301
Sm 1.4000 8.5520 3.9370
Sm 3.2311 5.3413 3.9370
Sm 3.9209 7.8622 1.0301
Sm 5.3413 1.4000 4.7837
Sm 6.0310 3.9209 1.8768
Sm 7.8622 0.7102 1.8768
Sm 8.5520 3.2311 4.7837
Pt 0.3946 5.8144 3.9340
Pt 1.1833 8.8675 1.0271
Pt 3.4478 5.0257 1.0271
Pt 4.2364 8.0789 3.9340
Pt 5.0257 1.1833 1.8798
Pt 5.8144 4.2364 4.7867
Pt 8.0789 0.3946 4.7867
Pt 8.8675 3.4478 1.8798
```

Peak list (10 most intense, 10° ≤ 2θ ≤ 80°, in order of rising 2θ)
d 6.549, intensity 41; d 4.631, intensity 21; d 2.929, intensity 100; d 2.907, intensity 21; d 2.774, intensity 35; d 2.379, intensity 18; d 2.116, intensity 24; d 2.071, intensity 35; d 2.063, intensity 28; d 1.925, intensity 21



12.
# Ca3Sm3Pt4
Calculated powder X-ray diffraction pattern, Cu Kα (weighted mean of Kα1 and Kα2). Input: a GGA-PBE-relaxed structure.

Atomic structure:
```
10
Lattice="4.0261 0.0000 0.0000 0.0000 5.5353 5.6288 0.0000 -5.5353 5.6288" Properties=species:S:1:pos:R:3 pbc="T T T"
Ca 0.0000 0.0000 0.0000
Ca 2.0130 -2.8131 6.6313
Ca 2.0130 2.8131 6.6313
Sm 0.0000 -1.7611 3.8349
Sm 0.0000 1.7611 3.8349
Sm 0.0000 0.0000 7.6970
Pt 2.0130 0.0000 2.3866
Pt 2.0130 0.0000 5.4125
Pt 2.0130 -1.5375 9.3867
Pt 2.0130 1.5375 9.3867
```

Peak list (10 most intense, 10° ≤ 2θ ≤ 80°, in order of rising 2θ)
d 5.629, intensity 39; d 2.664, intensity 86; d 2.644, intensity 100; d 2.509, intensity 26; d 2.484, intensity 25; d 2.013, intensity 21; d 1.973, intensity 21; d 1.409, intensity 14; d 1.384, intensity 20; d 1.370, intensity 16



Copy entry 6 word for word.
# Ca2Si3Pt5
Calculated powder X-ray diffraction pattern, Cu Kα (weighted mean of Kα1 and Kα2). Input: a GGA-PBE-relaxed structure.

Atomic structure:
```
20
Lattice="2.0240 -13.0019 0.0000 2.0240 13.0019 0.0000 0.0000 0.0000 6.6528" Properties=species:S:1:pos:R:3 pbc="T T T"
Ca 2.0240 12.4885 3.3264
Ca 2.0240 4.5462 3.1407
Ca 2.0240 -4.5462 6.4671
Ca 2.0240 -12.4885 0.0000
Si 2.0240 10.1658 4.9598
Si 2.0240 5.5326 5.9864
Si 2.0240 1.2190 4.6703
Si 2.0240 -1.2190 1.3439
Si 2.0240 -5.5326 2.6600
Si 2.0240 -10.1658 1.6334
Pt 2.0240 10.6160 0.8252
Pt 2.0240 8.0302 3.9763
Pt 2.0240 6.8150 1.4281
Pt 2.0240 3.0328 6.3413
Pt 2.0240 1.4881 2.1744
Pt 2.0240 -1.4881 5.5008
Pt 2.0240 -3.0328 3.0149
Pt 2.0240 -6.8150 4.7545
Pt 2.0240 -8.0302 0.6498
Pt 2.0240 -10.6160 4.1516
```

Peak list (10 most intense, 10° ≤ 2θ ≤ 80°, in order of rising 2θ)
d 4.650, intensity 42; d 4.334, intensity 34; d 3.216, intensity 35; d 2.880, intensity 63; d 2.558, intensity 58; d 2.531, intensity 100; d 2.464, intensity 29; d 2.099, intensity 25; d 2.024, intensity 45; d 1.952, intensity 23